Record 1
# U2Si3Pt9
Calculated powder diffractogram, Cu Kα, 1.54184 Å. Input: a structure optimized by DFT (GGA-PBE).
Neutral-atom scattering factors, no anomalous dispersion.

Top 10 peaks for 2θ from 5° to 70°, low angle first:
23.19 deg, I 19.0
30.37 deg, I 13.8
35.91 deg, I 20.5
36.40 deg, I 17.9
37.64 deg, I 100.0
37.80 deg, I 54.0
39.41 deg, I 21.0
40.74 deg, I 84.4
47.40 deg, I 13.5
64.25 deg, I 13.8

Cell and atoms:
a = 7.6690 Å, b = 7.6690 Å, c = 10.1842 Å
α = 112.40°, β = 112.40°, γ = 60.07°
Atoms (fractional coordinates):
U 0.0857 0.2591 0.2469
U 0.2591 0.0857 0.7469
U 0.7409 0.9143 0.2531
U 0.9143 0.7409 0.7531
Si 0.0000 0.5000 0.0000
Si 0.1485 0.6780 0.5032
Si 0.3220 0.8515 0.9968
Si 0.5000 0.0000 0.5000
Si 0.6780 0.1485 0.0032
Si 0.8515 0.3220 0.4968
Pt 0.0105 0.8713 0.0802
Pt 0.1287 0.9895 0.4198
Pt 0.1905 0.3574 0.5679
Pt 0.2016 0.5819 0.2609
Pt 0.2934 0.4931 0.9364
Pt 0.3574 0.1905 0.0679
Pt 0.3600 0.6400 0.7500
Pt 0.4181 0.7984 0.2391
Pt 0.4931 0.2934 0.4364
Pt 0.5069 0.7066 0.5636
Pt 0.5819 0.2016 0.7609
Pt 0.6400 0.3600 0.2500
Pt 0.6426 0.8095 0.9321
Pt 0.7066 0.5069 0.0636
Pt 0.7984 0.4181 0.7391
Pt 0.8095 0.6426 0.4321
Pt 0.8713 0.0105 0.5802
Pt 0.9895 0.1287 0.9198

Record 2
# U2Si5Pt3
Calculated powder diffractogram, Cu Kα, 1.54184 Å. Input: a structure optimized by DFT (GGA-PBE).
Neutral-atom scattering factors, no anomalous dispersion.

Top 10 peaks for 2θ from 5° to 70°, low angle first:
25.14 deg, I 23.5
27.95 deg, I 13.4
29.36 deg, I 17.7
31.48 deg, I 14.0
31.74 deg, I 21.5
34.54 deg, I 100.0
36.38 deg, I 22.7
43.58 deg, I 41.6
55.47 deg, I 19.3
58.05 deg, I 20.7

Cell and atoms:
a = 8.1519 Å, b = 8.1519 Å, c = 8.1519 Å
α = 104.52°, β = 91.59°, γ = 136.17°
Atoms (fractional coordinates):
U 0.1311 0.2305 0.3616
U 0.3689 0.7305 0.0995
U 0.6311 0.2695 0.9005
U 0.8689 0.7695 0.6384
Si 0.0240 0.7500 0.2740
Si 0.1121 0.6520 0.7641
Si 0.2500 0.2500 0.0000
Si 0.3879 0.1520 0.5399
Si 0.4760 0.7500 0.7260
Si 0.5240 0.2500 0.2740
Si 0.6121 0.8480 0.4601
Si 0.7500 0.7500 0.0000
Si 0.8879 0.3480 0.2359
Si 0.9760 0.2500 0.7260
Pt 0.1378 0.8903 0.0281
Pt 0.2500 0.7500 0.5000
Pt 0.3622 0.3903 0.7525
Pt 0.6378 0.6097 0.2475
Pt 0.7500 0.2500 0.5000
Pt 0.8622 0.1097 0.9719

Record 3
# U2Si7Pt12
Calculated powder diffractogram, Cu Kα, 1.54184 Å. Input: a structure optimized by DFT (GGA-PBE).
Neutral-atom scattering factors, no anomalous dispersion.

Top 10 peaks for 2θ from 5° to 70°, low angle first:
27.34 deg, I 20.0
35.65 deg, I 100.0
36.05 deg, I 7.0
41.87 deg, I 6.0
45.81 deg, I 25.0
48.33 deg, I 16.1
54.16 deg, I 7.2
61.48 deg, I 7.9
66.80 deg, I 6.2
68.77 deg, I 10.8

Cell and atoms:
a = 9.9647 Å, b = 9.9647 Å, c = 3.9627 Å
α = 90.00°, β = 90.00°, γ = 120.00°
Atoms (fractional coordinates):
U 0.3333 0.6667 0.2455
U 0.6667 0.3333 0.7545
Si 0.0000 0.0000 0.5000
Si 0.1139 0.7126 0.7449
Si 0.2874 0.4013 0.7449
Si 0.4013 0.1139 0.2551
Si 0.5987 0.8861 0.7449
Si 0.7126 0.5987 0.2551
Si 0.8861 0.2874 0.2551
Pt 0.0764 0.4562 0.7498
Pt 0.1157 0.2597 0.2406
Pt 0.1440 0.8843 0.2406
Pt 0.2597 0.1440 0.7594
Pt 0.3798 0.9236 0.7498
Pt 0.4562 0.3798 0.2502
Pt 0.5438 0.6202 0.7498
Pt 0.6202 0.0764 0.2502
Pt 0.7403 0.8560 0.2406
Pt 0.8560 0.1157 0.7594
Pt 0.8843 0.7403 0.7594
Pt 0.9236 0.5438 0.2502

Record 4
# USi2Pt2
Calculated powder diffractogram, Cu Kα, 1.54184 Å. Input: a structure optimized by DFT (GGA-PBE).
Neutral-atom scattering factors, no anomalous dispersion.

Top 10 peaks for 2θ from 5° to 70°, low angle first:
27.90 deg, I 21.8
31.45 deg, I 55.2
34.66 deg, I 78.0
35.27 deg, I 100.0
43.06 deg, I 64.9
51.18 deg, I 25.3
56.41 deg, I 39.6
62.53 deg, I 21.9
64.85 deg, I 24.9
69.05 deg, I 21.3

Cell and atoms:
a = 4.2015 Å, b = 4.2015 Å, c = 9.8579 Å
α = 90.00°, β = 90.00°, γ = 90.00°
Atoms (fractional coordinates):
U 0.2500 0.2500 0.2470
U 0.7500 0.7500 0.7530
Si 0.2500 0.2500 0.6348
Si 0.2500 0.7500 0.0000
Si 0.7500 0.2500 0.0000
Si 0.7500 0.7500 0.3652
Pt 0.2500 0.2500 0.8773
Pt 0.2500 0.7500 0.5000
Pt 0.7500 0.2500 0.5000
Pt 0.7500 0.7500 0.1227